This entry pairs a crystal structure of NiI2O10 with its theoretical X-ray diffraction stick pattern. Radiation: λ = 1.5418 Å (Cu Kα). Structure: a PBE+U-relaxed structure.
Lines closer than 0.1° are merged.

Crystal structure
abc: 6.6188 6.6540 8.3233
angles: 90.00 94.82 90.00
Sites, in units of the cell vectors:
Ni 0.0000 0.0000 0.0000
Ni 0.0000 0.5000 0.5000
I 0.3447 0.1977 0.5213
I 0.3447 0.3023 0.0213
I 0.6553 0.6977 0.9787
I 0.6553 0.8023 0.4787
O 0.0591 0.2253 0.4740
O 0.0591 0.2747 0.9740
O 0.1236 0.5815 0.3221
O 0.1236 0.9185 0.8221
O 0.2772 0.5240 0.5588
O 0.2772 0.9760 0.0588
O 0.3158 0.5710 0.9553
O 0.3158 0.9290 0.4553
O 0.3547 0.1581 0.7423
O 0.3547 0.3419 0.2423
O 0.6453 0.6581 0.7577
O 0.6453 0.8419 0.2577
O 0.6842 0.0710 0.5447
O 0.6842 0.4290 0.0447
O 0.7228 0.0240 0.9412
O 0.7228 0.4760 0.4412
O 0.8764 0.0815 0.1779
O 0.8764 0.4185 0.6779
O 0.9409 0.7253 0.0260
O 0.9409 0.7747 0.5260

Most intense lines, 2θ from 5° to 70°, sorted by position:
two_theta  d/Å  intensity
18.9  4.684  94
21.4  4.147  100
22.3  3.978  33
27.9  3.201  39
30.2  2.955  38
31.6  2.831  21
41.1  2.198  22
42.2  2.143  27